(1)
This entry pairs a crystal structure of Fe2PH2CO7 with its computed PXRD pattern. Radiation: Cu Kα (weighted mean of Kα1 and Kα2). Structure: a DFT-relaxed cell (PBE+U, the Materials Project).
Lines closer than 0.1° are merged.

The 12 most intense peaks (15° ≤ 2θ ≤ 90°), in order of rising 2θ:
Position (°2θ), d (Å), I_rel
16.44, 5.391, 59
19.15, 4.635, 25
20.75, 4.281, 36
22.39, 3.971, 84
23.19, 3.836, 39
25.53, 3.489, 26
25.64, 3.475, 100
28.24, 3.160, 35
30.21, 2.959, 55
31.07, 2.879, 26
33.23, 2.696, 54
47.53, 1.913, 35

```
data_Fe2PH2CO7
_space_group_name_H-M_alt 'P 1'
_space_group_IT_number 1
_space_group_name_Hall 'P 1'
_cell_length_a 7.8122
_cell_length_b 5.7575
_cell_length_c 17.1975
_cell_angle_alpha 90.00
_cell_angle_beta 116.73
_cell_angle_gamma 90.00
loop_
_atom_site_label
_atom_site_type_symbol
_atom_site_fract_x
_atom_site_fract_y
_atom_site_fract_z
Fe1 Fe 0.1380 0.0153 0.3222
Fe2 Fe 0.1380 0.4847 0.8222
Fe3 Fe 0.2853 0.0393 0.1605
Fe4 Fe 0.2853 0.4607 0.6605
Fe5 Fe 0.7147 0.5393 0.3395
Fe6 Fe 0.7147 0.9607 0.8395
Fe7 Fe 0.8620 0.5153 0.1778
Fe8 Fe 0.8620 0.9847 0.6778
P1 P 0.2821 0.0016 0.8554
P2 P 0.2821 0.4984 0.3554
P3 P 0.7179 0.5016 0.6446
P4 P 0.7179 0.9984 0.1446
H1 H 0.4109 0.6584 0.8044
H2 H 0.4109 0.8416 0.3044
H3 H 0.4687 0.2426 0.4537
H4 H 0.4687 0.2574 0.9537
H5 H 0.5313 0.7426 0.0463
H6 H 0.5313 0.7574 0.5463
H7 H 0.5891 0.1584 0.6956
H8 H 0.5891 0.3416 0.1956
C1 C 0.0204 0.1276 0.9905
C2 C 0.0204 0.3724 0.4905
C3 C 0.9796 0.6276 0.5095
C4 C 0.9796 0.8724 0.0095
O1 O 0.0755 0.7022 0.5867
O2 O 0.0755 0.7978 0.0867
O3 O 0.1132 0.1082 0.7738
O4 O 0.1132 0.3918 0.2738
O5 O 0.1462 0.2409 0.0530
O6 O 0.1462 0.2591 0.5530
O7 O 0.2216 0.7018 0.3942
O8 O 0.2216 0.7982 0.8942
O9 O 0.3310 0.2255 0.9219
O10 O 0.3310 0.2745 0.4219
O11 O 0.3430 0.5112 0.7814
O12 O 0.3430 0.9888 0.2814
O13 O 0.4595 0.5465 0.3429
O14 O 0.4595 0.9535 0.8429
O15 O 0.5405 0.0465 0.1571
O16 O 0.5405 0.4535 0.6571
O17 O 0.6570 0.0112 0.7186
O18 O 0.6570 0.4888 0.2186
O19 O 0.6690 0.7255 0.5781
O20 O 0.6690 0.7745 0.0781
O21 O 0.7784 0.2018 0.1058
O22 O 0.7784 0.2982 0.6058
O23 O 0.8538 0.7409 0.4470
O24 O 0.8538 0.7591 0.9470
O25 O 0.8868 0.6082 0.7262
O26 O 0.8868 0.8918 0.2262
O27 O 0.9245 0.2022 0.9133
O28 O 0.9245 0.2978 0.4133
```



(2)
This entry pairs a crystal structure of MgMn3TeO8 with its computed PXRD pattern. Radiation: Cu Kα (weighted mean of Kα1 and Kα2). Structure: a DFT-relaxed cell (PBE+U, the Materials Project).
Lines closer than 0.1° are merged.

The 12 most intense peaks (15° ≤ 2θ ≤ 90°), in order of rising 2θ:
Position (°2θ), d (Å), I_rel
17.72, 5.006, 100
20.82, 4.267, 12
28.59, 3.123, 10
32.88, 2.724, 16
34.48, 2.601, 27
35.43, 2.534, 13
35.83, 2.506, 14
39.34, 2.290, 25
42.36, 2.134, 41
59.12, 1.563, 14
59.25, 1.560, 12
60.96, 1.520, 12

```
data_MgMn3TeO8
_space_group_name_H-M_alt 'P 1'
_space_group_IT_number 1
_space_group_name_Hall 'P 1'
_cell_length_a 6.2548
_cell_length_b 6.2548
_cell_length_c 5.9881
_cell_angle_alpha 118.47
_cell_angle_beta 118.47
_cell_angle_gamma 58.19
loop_
_atom_site_label
_atom_site_type_symbol
_atom_site_fract_x
_atom_site_fract_y
_atom_site_fract_z
Mg1 Mg 0.0000 0.0000 0.0000
Mn1 Mn 0.0000 0.0000 0.5000
Mn2 Mn 0.0000 0.5000 0.0000
Mn3 Mn 0.5000 0.0000 0.0000
Te1 Te 0.5000 0.5000 0.5000
O1 O 0.2143 0.2143 0.7533
O2 O 0.2186 0.7719 0.2631
O3 O 0.2281 0.7814 0.7369
O4 O 0.2567 0.2567 0.2190
O5 O 0.7433 0.7433 0.7810
O6 O 0.7719 0.2186 0.2631
O7 O 0.7814 0.2281 0.7369
O8 O 0.7857 0.7857 0.2467
```



Please write out number 1 again, unchanged.
This entry pairs a crystal structure of Fe2PH2CO7 with its computed PXRD pattern. Radiation: Cu Kα (weighted mean of Kα1 and Kα2). Structure: a DFT-relaxed cell (PBE+U, the Materials Project).
Lines closer than 0.1° are merged.

The 12 most intense peaks (15° ≤ 2θ ≤ 90°), in order of rising 2θ:
Position (°2θ), d (Å), I_rel
16.44, 5.391, 59
19.15, 4.635, 25
20.75, 4.281, 36
22.39, 3.971, 84
23.19, 3.836, 39
25.53, 3.489, 26
25.64, 3.475, 100
28.24, 3.160, 35
30.21, 2.959, 55
31.07, 2.879, 26
33.23, 2.696, 54
47.53, 1.913, 35

```
data_Fe2PH2CO7
_space_group_name_H-M_alt 'P 1'
_space_group_IT_number 1
_space_group_name_Hall 'P 1'
_cell_length_a 7.8122
_cell_length_b 5.7575
_cell_length_c 17.1975
_cell_angle_alpha 90.00
_cell_angle_beta 116.73
_cell_angle_gamma 90.00
loop_
_atom_site_label
_atom_site_type_symbol
_atom_site_fract_x
_atom_site_fract_y
_atom_site_fract_z
Fe1 Fe 0.1380 0.0153 0.3222
Fe2 Fe 0.1380 0.4847 0.8222
Fe3 Fe 0.2853 0.0393 0.1605
Fe4 Fe 0.2853 0.4607 0.6605
Fe5 Fe 0.7147 0.5393 0.3395
Fe6 Fe 0.7147 0.9607 0.8395
Fe7 Fe 0.8620 0.5153 0.1778
Fe8 Fe 0.8620 0.9847 0.6778
P1 P 0.2821 0.0016 0.8554
P2 P 0.2821 0.4984 0.3554
P3 P 0.7179 0.5016 0.6446
P4 P 0.7179 0.9984 0.1446
H1 H 0.4109 0.6584 0.8044
H2 H 0.4109 0.8416 0.3044
H3 H 0.4687 0.2426 0.4537
H4 H 0.4687 0.2574 0.9537
H5 H 0.5313 0.7426 0.0463
H6 H 0.5313 0.7574 0.5463
H7 H 0.5891 0.1584 0.6956
H8 H 0.5891 0.3416 0.1956
C1 C 0.0204 0.1276 0.9905
C2 C 0.0204 0.3724 0.4905
C3 C 0.9796 0.6276 0.5095
C4 C 0.9796 0.8724 0.0095
O1 O 0.0755 0.7022 0.5867
O2 O 0.0755 0.7978 0.0867
O3 O 0.1132 0.1082 0.7738
O4 O 0.1132 0.3918 0.2738
O5 O 0.1462 0.2409 0.0530
O6 O 0.1462 0.2591 0.5530
O7 O 0.2216 0.7018 0.3942
O8 O 0.2216 0.7982 0.8942
O9 O 0.3310 0.2255 0.9219
O10 O 0.3310 0.2745 0.4219
O11 O 0.3430 0.5112 0.7814
O12 O 0.3430 0.9888 0.2814
O13 O 0.4595 0.5465 0.3429
O14 O 0.4595 0.9535 0.8429
O15 O 0.5405 0.0465 0.1571
O16 O 0.5405 0.4535 0.6571
O17 O 0.6570 0.0112 0.7186
O18 O 0.6570 0.4888 0.2186
O19 O 0.6690 0.7255 0.5781
O20 O 0.6690 0.7745 0.0781
O21 O 0.7784 0.2018 0.1058
O22 O 0.7784 0.2982 0.6058
O23 O 0.8538 0.7409 0.4470
O24 O 0.8538 0.7591 0.9470
O25 O 0.8868 0.6082 0.7262
O26 O 0.8868 0.8918 0.2262
O27 O 0.9245 0.2022 0.9133
O28 O 0.9245 0.2978 0.4133
```